Diffraction record for Pm2DyYTm2. The PXRD pattern is simulated, not measured: it uses a DFT-relaxed cell (GGA-PBE, Alexandria) and CuKα.
Neutral-atom scattering factors, no anomalous dispersion.

Crystal structure
Lattice parameters (Å, degrees): 7.0352 5.6274 9.7011 90.00 90.00 90.00
Space group Pmma (No. 51)
Symmetry-distinct sites (fractional):
Pm: 0.2500 0.0000 0.1553 (multiplicity 2)
Pm: 0.2500 0.5000 0.6760 (multiplicity 2)
Dy: 0.2500 0.0000 0.8195 (multiplicity 2)
Y: 0.0000 0.5000 0.0000 (multiplicity 2)
Tm: 0.0000 0.0000 0.5000 (multiplicity 2)
Tm: 0.2500 0.5000 0.3437 (multiplicity 2)

Peak list (6 most intense, 2θ from 10° to 80°, low angle first)
| 2theta | intensity |
| --- | --- |
| 31.39 | 100 |
| 31.80 | 39 |
| 31.92 | 74 |
| 45.31 | 24 |
| 56.55 | 24 |
| 62.30 | 33 |

---

Diffraction record for Pm3DyYTm. The PXRD pattern is simulated, not measured: it uses a DFT-relaxed cell (GGA-PBE, Alexandria) and CuKα.
Neutral-atom scattering factors, no anomalous dispersion.

Crystal structure
Lattice parameters (Å, degrees): 8.0299 5.0939 10.1511 90.00 108.50 90.00
Space group P2_1/m (No. 11)
Symmetry-distinct sites (fractional):
Pm: 0.1680 0.2500 0.0423 (multiplicity 2)
Pm: 0.1694 0.2500 0.5421 (multiplicity 2)
Pm: 0.1702 0.7500 0.7918 (multiplicity 2)
Dy: 0.4987 0.7500 0.1261 (multiplicity 2)
Y: 0.1703 0.7500 0.2934 (multiplicity 2)
Tm: 0.4997 0.2500 0.3765 (multiplicity 2)

Peak list (6 most intense, 2θ from 10° to 80°, low angle first)
| 2theta | intensity |
| --- | --- |
| 30.47 | 100 |
| 35.24 | 17 |
| 35.37 | 34 |
| 50.80 | 30 |
| 60.47 | 28 |
| 63.40 | 12 |

---

Diffraction record for PmDy2V. The PXRD pattern is simulated, not measured: it uses a DFT-relaxed cell (GGA-PBE, Alexandria) and CuKα.
Neutral-atom scattering factors, no anomalous dispersion.

Crystal structure
Lattice parameters (Å, degrees): 3.3863 3.3863 34.5623 90.00 90.00 120.00
Space group R-3m (No. 166, hexagonal axes)
Symmetry-distinct sites (fractional):
Pm: 0.0000 0.0000 0.0000 (multiplicity 3)
Dy: 0.0000 0.0000 0.4191 (multiplicity 6)
V: 0.0000 0.0000 0.5000 (multiplicity 3)

Peak list (6 most intense, 2θ from 10° to 80°, low angle first)
| 2theta | intensity |
| --- | --- |
| 30.93 | 100 |
| 31.05 | 64 |
| 33.18 | 80 |
| 35.61 | 78 |
| 54.17 | 41 |
| 63.75 | 61 |

---

Diffraction record for Pm2Dy3Y6. The PXRD pattern is simulated, not measured: it uses a DFT-relaxed cell (GGA-PBE, Alexandria) and CuKα.
Neutral-atom scattering factors, no anomalous dispersion.

Crystal structure
Lattice parameters (Å, degrees): 6.1447 10.6604 11.7137 90.00 100.17 90.00
Space group C2/m (No. 12)
Symmetry-distinct sites (fractional):
Pm: 0.0000 0.1666 0.0000 (multiplicity 4)
Dy: 0.0000 0.0000 0.5000 (multiplicity 2)
Dy: 0.0000 0.3352 0.5000 (multiplicity 4)
Y: 0.2494 0.5000 0.7484 (multiplicity 4)
Y: 0.2497 0.1665 0.7483 (multiplicity 8)

Peak list (6 most intense, 2θ from 10° to 80°, low angle first)
| 2theta | intensity |
| --- | --- |
| 30.86 | 100 |
| 31.03 | 33 |
| 35.84 | 66 |
| 51.48 | 23 |
| 51.69 | 23 |
| 61.34 | 23 |